# 1
Nb2CrO8: simulated X-ray powder pattern (Cu Kα (λ = 1.5418 Å)), based on the PBE+U geometry in the Materials Project.
Lines closer than 0.1° are merged.

Main lines, in order of rising 2θ (15 to 90 degrees two-theta):
| 2theta | intensity |
| --- | --- |
| 17.8 | 61 |
| 19.7 | 39 |
| 23.4 | 30 |
| 26.5 | 90 |
| 26.8 | 100 |
| 29.0 | 25 |
| 32.5 | 30 |
| 34.2 | 25 |
| 36.1 | 30 |
| 47.0 | 28 |

Atomic structure:
```
data_Nb2CrO8
_chemical_formula_sum 'Nb4 Cr2 O16'
_space_group_name_H-M_alt 'P 1'
_space_group_IT_number 1
_cell_length_a 10.4110
_cell_length_b 10.4110
_cell_length_c 4.9702
_cell_angle_alpha 90.75
_cell_angle_beta 90.75
_cell_angle_gamma 34.46
loop_
_space_group_symop_operation_xyz
'x,y,z'
loop_
_atom_site_label
_atom_site_type_symbol
_atom_site_fract_x
_atom_site_fract_y
_atom_site_fract_z
Nb1 Nb 0.0666 0.6749 0.7455
Nb2 Nb 0.3251 0.9334 0.7545
Nb3 Nb 0.6749 0.0666 0.2455
Nb4 Nb 0.9334 0.3251 0.2545
Cr1 Cr 0.3340 0.6660 0.2500
Cr2 Cr 0.6660 0.3340 0.7500
O1 O 0.0737 0.2405 0.9209
O2 O 0.1176 0.7737 0.4034
O3 O 0.1931 0.4293 0.6370
O4 O 0.2263 0.8824 0.0966
O5 O 0.2405 0.0737 0.4209
O6 O 0.3432 0.5537 0.9445
O7 O 0.4293 0.1931 0.1370
O8 O 0.4463 0.6568 0.5555
O9 O 0.5537 0.3432 0.4445
O10 O 0.5707 0.8069 0.8630
O11 O 0.6568 0.4463 0.0555
O12 O 0.7595 0.9263 0.5791
O13 O 0.7737 0.1176 0.9034
O14 O 0.8069 0.5707 0.3630
O15 O 0.8824 0.2263 0.5966
O16 O 0.9263 0.7595 0.0791
```



# 2
BaTlMo2O6: simulated X-ray powder pattern (Cu Kα (λ = 1.5418 Å)), based on the PBE+U geometry in the Materials Project.
Lines closer than 0.1° are merged.

Main lines, in order of rising 2θ (15 to 90 degrees two-theta):
| 2theta | intensity |
| --- | --- |
| 22.9 | 31 |
| 26.8 | 51 |
| 29.2 | 100 |
| 31.9 | 42 |
| 32.3 | 22 |
| 32.4 | 71 |
| 32.7 | 23 |
| 46.4 | 44 |
| 46.6 | 23 |
| 49.6 | 25 |

Atomic structure:
```
data_BaTlMo2O6
_chemical_formula_sum 'Ba2 Tl2 Mo4 O12'
_space_group_name_H-M_alt 'P 1'
_space_group_IT_number 1
_cell_length_a 22.3534
_cell_length_b 22.3534
_cell_length_c 3.9099
_cell_angle_alpha 94.95
_cell_angle_beta 94.95
_cell_angle_gamma 10.01
loop_
_space_group_symop_operation_xyz
'x,y,z'
loop_
_atom_site_label
_atom_site_type_symbol
_atom_site_fract_x
_atom_site_fract_y
_atom_site_fract_z
Ba1 Ba 0.0000 0.0000 0.0000
Ba2 Ba 0.6721 0.6721 0.6737
Tl1 Tl 0.1130 0.1130 0.0983
Tl2 Tl 0.5602 0.5602 0.5029
Mo1 Mo 0.2254 0.2254 0.2282
Mo2 Mo 0.3064 0.3064 0.3207
Mo3 Mo 0.3777 0.3777 0.3856
Mo4 Mo 0.4444 0.4444 0.4472
O1 O 0.0602 0.0602 0.1634
O2 O 0.1811 0.1811 0.1847
O3 O 0.2266 0.2266 0.7296
O4 O 0.3046 0.3046 0.8190
O5 O 0.3778 0.3778 0.8857
O6 O 0.4538 0.4538 0.9563
O7 O 0.5122 0.5122 0.5246
O8 O 0.6065 0.6065 0.6752
O9 O 0.7271 0.7271 0.2303
O10 O 0.8044 0.8044 0.3186
O11 O 0.8776 0.8776 0.3855
O12 O 0.9479 0.9479 0.4495
```



# 3
CaEuHfFeO6: simulated X-ray powder pattern (Cu Kα (λ = 1.5418 Å)), based on the PBE+U geometry in the Materials Project.
Lines closer than 0.1° are merged.

Main lines, in order of rising 2θ (15 to 90 degrees two-theta):
| 2theta | intensity |
| --- | --- |
| 19.2 | 34 |
| 31.7 | 100 |
| 37.3 | 21 |
| 45.4 | 32 |
| 49.7 | 10 |
| 56.4 | 39 |
| 60.1 | 7 |
| 66.1 | 19 |
| 69.6 | 7 |
| 75.2 | 17 |

Atomic structure:
```
data_CaEuHfFeO6
_chemical_formula_sum 'Ca1 Eu1 Hf1 Fe1 O6'
_space_group_name_H-M_alt 'P 1'
_space_group_IT_number 1
_cell_length_a 5.6523
_cell_length_b 5.6523
_cell_length_c 5.6523
_cell_angle_alpha 60.00
_cell_angle_beta 60.00
_cell_angle_gamma 60.00
loop_
_space_group_symop_operation_xyz
'x,y,z'
loop_
_atom_site_label
_atom_site_type_symbol
_atom_site_fract_x
_atom_site_fract_y
_atom_site_fract_z
Ca1 Ca 0.0000 0.0000 0.0000
Eu1 Eu 0.5000 0.5000 0.5000
Hf1 Hf 0.2500 0.2500 0.2500
Fe1 Fe 0.7500 0.7500 0.7500
O1 O 0.5047 0.5047 0.9953
O2 O 0.5047 0.9953 0.5047
O3 O 0.5047 0.9953 0.9953
O4 O 0.9953 0.5047 0.5047
O5 O 0.9953 0.5047 0.9953
O6 O 0.9953 0.9953 0.5047
```



# 4
Ca2AlVO5: simulated X-ray powder pattern (Cu Kα (λ = 1.5418 Å)), based on the PBE+U geometry in the Materials Project.
Lines closer than 0.1° are merged.

Main lines, in order of rising 2θ (15 to 90 degrees two-theta):
| 2theta | intensity |
| --- | --- |
| 24.2 | 23 |
| 31.4 | 64 |
| 33.0 | 86 |
| 33.7 | 99 |
| 33.8 | 100 |
| 34.8 | 24 |
| 44.1 | 43 |
| 46.0 | 48 |
| 46.4 | 46 |
| 50.6 | 36 |

Atomic structure:
```
data_Ca2AlVO5
_chemical_formula_sum 'Ca4 Al2 V2 O10'
_space_group_name_H-M_alt 'P 1'
_space_group_IT_number 1
_cell_length_a 5.4285
_cell_length_b 5.6968
_cell_length_c 8.2149
_cell_angle_alpha 110.13
_cell_angle_beta 109.12
_cell_angle_gamma 90.45
loop_
_space_group_symop_operation_xyz
'x,y,z'
loop_
_atom_site_label
_atom_site_type_symbol
_atom_site_fract_x
_atom_site_fract_y
_atom_site_fract_z
Ca1 Ca 0.0000 0.0000 0.0000
Ca2 Ca 0.2187 0.1542 0.4423
Ca3 Ca 0.4973 0.4334 0.0000
Ca4 Ca 0.7201 0.7208 0.4423
Al1 Al 0.3290 0.7505 0.7211
Al2 Al 0.8278 0.4037 0.7211
V1 V 0.1214 0.5770 0.2208
V2 V 0.6220 0.0768 0.2209
O1 O 0.9998 0.3575 0.9273
O2 O 0.0003 0.6782 0.7210
O3 O 0.2924 0.7969 0.5142
O4 O 0.3521 0.8147 0.1890
O5 O 0.3857 0.3410 0.2528
O6 O 0.5001 0.0040 0.9274
O7 O 0.4999 0.4769 0.7211
O8 O 0.7916 0.1508 0.5146
O9 O 0.8516 0.8070 0.1889
O10 O 0.8863 0.3447 0.2532
```